SrSi2B2O8: simulated powder diffraction line list (Cu Kα), based on a PBE-relaxed structure.
No peak broadening, texture or thermal motion is included.

Largest 10 diffraction maxima, by angle, 2θ = 10–80°:
(hkl), two_theta, I/Imax
2 1 0, 24.2, 100
1 1 2, 25.1, 75
1 2 1, 26.7, 71
0 1 3, 31.8, 58
2 2 1, 32.7, 42
3 1 1, 35.8, 31
2 2 3, 43.5, 29
2 3 2, 45.2, 29
0 4 0, 45.5, 29
1 0 5, 51.8, 29

Crystal structure
a = 8.287 Å, b = 7.986 Å, c = 9.031 Å
α = 90.00°, β = 90.00°, γ = 90.00°
Space group Pnma (No. 62)
Inequivalent atoms, fractional coordinates:
Sr  0.108  0.250  0.076 [4 per cell]
Si  0.063  0.058  0.691 [8 per cell]
B  0.233  0.081  0.415 [8 per cell]
O  0.003  0.750  0.326 [4 per cell]
O  0.090  0.072  0.319 [8 per cell]
O  0.136  0.034  0.858 [8 per cell]
O  0.198  0.013  0.565 [8 per cell]
O  0.199  0.750  0.915 [4 per cell]

SmBO3: simulated powder diffraction line list (Cu Kα), based on a PBE-relaxed structure.
No peak broadening, texture or thermal motion is included.

Largest 10 diffraction maxima, by angle, 2θ = 10–80°:
(hkl), two_theta, I/Imax
2 0 0, 20.5, 61
0 1 1, 24.0, 95
0 2 0, 26.6, 37
2 1 1, 31.7, 100
2 2 0, 33.8, 38
0 3 1, 45.4, 31
2 0 2, 45.8, 21
4 1 1, 48.6, 41
2 3 1, 50.3, 30
2 2 2, 53.7, 25

Crystal structure
a = 8.677 Å, b = 6.704 Å, c = 4.455 Å
α = 90.00°, β = 90.00°, γ = 90.00°
Space group Ama2 (No. 40)
Inequivalent atoms, fractional coordinates:
Sm  0.000  0.000  0.000 [4 per cell]
B  0.250  0.138  0.442 [4 per cell]
O  0.106  0.172  0.573 [8 per cell]
O  0.250  0.072  0.149 [4 per cell]